(1)
# PmB4Rh12
Theoretical powder diffraction line list, Cu Ka. Input: a structure optimized by DFT (GGA-PBE).

Top 6 peaks for 2θ = 5–70°, sorted by position:
- d = 2.755 Å, 32.50 deg, I 4
- d = 2.464 Å, 36.46 deg, I 100
- d = 2.249 Å, 40.08 deg, I 16
- d = 2.083 Å, 43.45 deg, I 62
- d = 1.591 Å, 57.98 deg, I 12
- d = 1.528 Å, 60.59 deg, I 14

Structural model:
abc: 6.7484 6.7484 6.7484
angles: 109.47 109.47 109.47
Fractional positions:
1 Pm 0.0000 0.0000 0.0000
2 B 0.0000 0.0000 0.5000
3 B 0.0000 0.5000 0.0000
4 B 0.5000 0.0000 0.0000
5 B 0.5000 0.5000 0.5000
6 Rh 0.1500 0.3234 0.8266
7 Rh 0.1734 0.4967 0.3234
8 Rh 0.1734 0.8500 0.6766
9 Rh 0.3234 0.1734 0.4967
10 Rh 0.3234 0.8266 0.1500
11 Rh 0.4967 0.3234 0.1734
12 Rh 0.5033 0.6766 0.8266
13 Rh 0.6766 0.1734 0.8500
14 Rh 0.6766 0.8266 0.5033
15 Rh 0.8266 0.1500 0.3234
16 Rh 0.8266 0.5033 0.6766
17 Rh 0.8500 0.6766 0.1734



(2)
# LaHoRu
Theoretical powder diffraction line list, Cu Ka. Input: a structure optimized by DFT (GGA-PBE).

Top 6 peaks for 2θ = 5–70°, sorted by position:
- d = 3.313 Å, 26.91 deg, I 34
- d = 3.069 Å, 29.09 deg, I 82
- d = 3.027 Å, 29.51 deg, I 100
- d = 2.949 Å, 30.30 deg, I 97
- d = 2.394 Å, 37.57 deg, I 97
- d = 1.977 Å, 45.91 deg, I 67

Structural model:
abc: 6.6302 6.9269 9.9378
angles: 90.00 129.70 90.00
Fractional positions:
1 La 0.1575 0.0715 0.3903
2 La 0.1575 0.4285 0.8903
3 La 0.8425 0.5715 0.1097
4 La 0.8425 0.9285 0.6097
5 Ho 0.3679 0.5701 0.6082
6 Ho 0.3679 0.9299 0.1082
7 Ho 0.6321 0.0701 0.8918
8 Ho 0.6321 0.4299 0.3918
9 Ru 0.3247 0.7442 0.3344
10 Ru 0.3247 0.7558 0.8344
11 Ru 0.6753 0.2442 0.1656
12 Ru 0.6753 0.2558 0.6656